Record 1
Diffraction record for ReH4NO4. The X-ray powder pattern is calculated, not measured: it uses a structure optimized by DFT (GGA-PBE) and Cu Kα (weighted mean of Kα1 and Kα2).

Top 10 peaks for 2θ = 10–90°, by intensity:
17.2°, d = 5.150 Å, rel. 100.0, (1 0 1)
26.4°, d = 3.379 Å, rel. 96.0, (1 1 2)
26.2°, d = 3.401 Å, rel. 40.4, (1 0 3)
53.5°, d = 1.714 Å, rel. 27.8, (1 3 2)
42.8°, d = 2.113 Å, rel. 27.0, (2 0 4)
36.4°, d = 2.468 Å, rel. 26.8, (1 2 1)
31.8°, d = 2.812 Å, rel. 19.8, (2 0 0)
48.4°, d = 1.881 Å, rel. 15.6, (1 1 6)
50.9°, d = 1.795 Å, rel. 15.3, (1 2 5)
41.7°, d = 2.167 Å, rel. 15.2, (2 1 3)

Structure:
abc: 5.6244 5.6244 12.8076
angles: 90.00 90.00 90.00
Space group I4_1/a (No. 88, origin choice 2)
Asymmetric unit:
Re1 0.0000 0.2500 0.1250 x4
H1 0.0916 0.1298 0.5790 x16
N1 0.0000 0.2500 0.6250 x4
O1 0.1205 0.4746 0.2040 x16

---

Record 2
Diffraction record for ZnH6Se4N2. The X-ray powder pattern is calculated, not measured: it uses a structure optimized by DFT (GGA-PBE) and Cu Kα (weighted mean of Kα1 and Kα2).

Top 10 peaks for 2θ = 10–90°, by intensity:
19.1°, d = 4.644 Å, rel. 100.0, (1 1 -1)
31.4°, d = 2.853 Å, rel. 70.5, (0 4 0)
30.9°, d = 2.892 Å, rel. 67.9, (2 0 -1)
31.6°, d = 2.832 Å, rel. 66.3, (0 1 2)
17.4°, d = 5.083 Å, rel. 57.3, (1 0 -1)
28.0°, d = 3.186 Å, rel. 56.7, (0 3 1)
18.5°, d = 4.802 Å, rel. 54.3, (1 1 0)
23.4°, d = 3.796 Å, rel. 46.8, (1 2 -1)
30.6°, d = 2.924 Å, rel. 35.9, (0 0 2)
29.3°, d = 3.046 Å, rel. 35.8, (1 3 -1)

Structure:
abc: 5.7923 11.4126 6.3991
angles: 90.00 113.96 90.00
Space group P2_1 (No. 4)
Asymmetric unit:
Zn1 0.1808 0.0000 0.1190 x2
H1 0.0197 0.6585 0.1990 x2
H2 0.1856 0.0817 0.7346 x2
H3 0.1893 0.5167 0.7414 x2
H4 0.2794 0.5712 0.0014 x2
H5 0.2865 0.1851 0.9319 x2
H6 0.2900 0.4283 0.9646 x2
Se1 0.0346 0.8200 0.6235 x2
Se2 0.2928 0.8070 0.0284 x2
Se3 0.3849 0.2769 0.4275 x2
Se4 0.4662 0.0716 0.4918 x2
N1 0.1551 0.1189 0.8682 x2
N2 0.1839 0.5025 0.8982 x2

---

Record 3
Diffraction record for Na3NbH6. The X-ray powder pattern is calculated, not measured: it uses a structure optimized by DFT (GGA-PBE) and Cu Kα (weighted mean of Kα1 and Kα2).

Top 10 peaks for 2θ = 10–90°, by intensity:
31.9°, d = 2.803 Å, rel. 100.0, (2 2 0)
19.4°, d = 4.578 Å, rel. 44.3, (1 1 1)
56.9°, d = 1.618 Å, rel. 36.2, (4 2 2)
22.4°, d = 3.964 Å, rel. 25.3, (2 0 0)
37.6°, d = 2.391 Å, rel. 23.0, (3 1 1)
45.8°, d = 1.982 Å, rel. 19.8, (4 0 0)
75.9°, d = 1.254 Å, rel. 14.3, (6 2 0)
66.7°, d = 1.402 Å, rel. 11.5, (4 4 0)
50.2°, d = 1.819 Å, rel. 9.9, (3 3 1)
51.5°, d = 1.773 Å, rel. 9.8, (4 2 0)

Structure:
abc: 7.9289 7.9289 7.9289
angles: 90.00 90.00 90.00
Space group Fm-3m (No. 225)
Asymmetric unit:
Na1 0.0000 0.0000 0.0000 x4
Na2 0.2500 0.2500 0.2500 x8
Nb1 0.0000 0.0000 0.5000 x4
H1 0.0000 0.0000 0.2622 x24

---

Record 4
Diffraction record for NaNdH2S2O9. The X-ray powder pattern is calculated, not measured: it uses a structure optimized by DFT (GGA-PBE) and Cu Kα (weighted mean of Kα1 and Kα2).

Top 10 peaks for 2θ = 10–90°, by intensity:
16.4°, d = 5.412 Å, rel. 100.0, (1 0 1)
31.9°, d = 2.806 Å, rel. 74.3, (1 0 4)
29.9°, d = 2.991 Å, rel. 64.1, (2 0 0)
14.8°, d = 5.982 Å, rel. 49.6, (1 0 0)
49.5°, d = 1.842 Å, rel. 48.7, (1 2 4)
25.8°, d = 3.454 Å, rel. 47.5, (1 1 0)
42.4°, d = 2.130 Å, rel. 28.8, (2 1 2)
54.3°, d = 1.689 Å, rel. 25.5, (3 0 4)
38.5°, d = 2.339 Å, rel. 21.4, (0 1 5)
21.0°, d = 4.236 Å, rel. 20.9, (0 0 3)

Structure:
abc: 6.9077 6.9077 12.7067
angles: 90.00 90.00 120.00
Space group P3_121 (No. 152)
Asymmetric unit:
Na1 0.0000 0.4672 0.1667 x3
Nd1 0.0000 0.4354 0.6667 x3
H1 0.0433 0.0957 0.3749 x6
S1 0.0091 0.4497 0.9124 x6
O1 0.0000 0.0808 0.6667 x3
O2 0.1276 0.6180 0.3446 x6
O3 0.1318 0.6429 0.8401 x6
O4 0.1336 0.3869 0.4893 x6
O5 0.1625 0.4010 0.9736 x6